(1)
# RbU2CuS6
Simulated PXRD pattern, a wavelength of 1.5418 Å. Input: a DFT-relaxed cell (GGA-PBE, Alexandria).
Intensities are scaled so that the largest is 100.

Peak list (12 most intense, 10° ≤ 2θ ≤ 90°, by intensity)
hkl	2θ/deg	d/Å	I (rel.)
0 2 1	16.94	5.235	100
2 0 -2	23.22	3.831	89
1 3 1	24.72	3.602	53
2 2 -1	19.75	4.495	40
3 1 0	25.18	3.537	39
2 4 -3	41.62	2.170	38
1 1 1	18.19	4.877	31
4 2 -1	32.22	2.778	28
2 2 -3	35.94	2.499	27
0 2 0	11.71	7.555	27
3 1 -2	27.35	3.261	24
0 6 0	35.65	2.518	22

Crystal structure
a b c (Å): 11.9516 15.1110 7.9506
angles (deg): 90.00 114.07 90.00
Space group C2/c (No. 15)
One atom of each set of equivalent atoms:
1 Rb 0.0000 0.1023 0.2500
2 U 0.1279 0.4100 0.1463
3 Cu 0.0000 0.1806 0.7500
4 S 0.0831 0.2630 0.0121
5 S 0.1172 0.4370 0.4713
6 S 0.1471 0.0911 0.7208

(2)
# Rb2ZrCu2S4
Simulated PXRD pattern, a wavelength of 1.5418 Å. Input: a DFT-relaxed cell (GGA-PBE, Alexandria).
Intensities are scaled so that the largest is 100.

Peak list (12 most intense, 10° ≤ 2θ ≤ 90°, by intensity)
hkl	2θ/deg	d/Å	I (rel.)
1 1 -2	32.70	2.739	100
3 1 1	35.27	2.545	98
3 1 -1	30.55	2.926	86
0 0 2	24.04	3.702	84
0 0 1	11.96	7.401	76
3 1 3	53.26	1.720	49
3 1 -2	35.08	2.558	46
0 2 0	47.15	1.928	44
6 0 0	40.36	2.235	37
4 0 1	32.57	2.749	36
7 1 -2	52.13	1.755	32
3 1 -3	42.93	2.107	28

Crystal structure
a b c (Å): 14.1073 3.8552 7.7868
angles (deg): 90.00 108.11 90.00
Space group C2/m (No. 12)
One atom of each set of equivalent atoms:
1 Rb 0.1371 0.0000 0.0625
2 Zr 0.0000 0.0000 0.5000
3 Cu 0.1770 0.5000 0.4861
4 S 0.0179 0.5000 0.2814
5 S 0.1929 0.0000 0.6656

(3)
# RbCuSb
Simulated PXRD pattern, a wavelength of 1.5418 Å. Input: a DFT-relaxed cell (GGA-PBE, Alexandria).
Intensities are scaled so that the largest is 100.

Peak list (12 most intense, 10° ≤ 2θ ≤ 90°, by intensity)
hkl	2θ/deg	d/Å	I (rel.)
2 0 1	27.58	3.234	100
0 0 1	12.15	7.285	100
3 1 -2	30.73	2.910	52
1 1 -1	22.52	3.947	48
2 2 1	50.33	1.813	37
0 2 0	41.24	2.189	36
1 1 -2	28.70	3.110	34
3 1 0	34.37	2.610	31
2 0 -3	29.29	3.049	29
4 0 -2	28.92	3.087	23
5 1 -1	45.08	2.011	22
5 1 -4	47.20	1.926	22

Crystal structure
a b c (Å): 12.3776 4.3784 9.2483
angles (deg): 90.00 128.03 90.00
Space group C2/m (No. 12)
One atom of each set of equivalent atoms:
1 Rb 0.0618 0.0000 0.3370
2 Cu 0.2396 0.0000 0.0594
3 Sb 0.1631 0.5000 0.1288